This entry pairs a crystal structure of Mg2CoIr with its theoretical XRD peak list. Radiation: Cu Kα (weighted mean of Kα1 and Kα2). Structure: a PBE-relaxed structure.
Kinematic intensities with the Lorentz-polarization factor, no thermal factor.

Most intense lines, 5° ≤ 2θ ≤ 70°, sorted by position:
20.1 deg, I 28
20.3 deg, I 22
28.7 deg, I 45
29.0 deg, I 24
35.5 deg, I 16
35.7 deg, I 11
40.8 deg, I 16
41.3 deg, I 100
46.0 deg, I 14
55.2 deg, I 11

```
data_Mg2CoIr
_cell_length_a 3.0809
_cell_length_b 4.3710
_cell_length_c 4.4279
_cell_angle_alpha 90.00
_cell_angle_beta 90.00
_cell_angle_gamma 90.00
_space_group_name_H-M_alt 'P m m 2'
_space_group_IT_number 25
_space_group_name_Hall 'P 2 -2'
loop_
_atom_site_label
_atom_site_type_symbol
_atom_site_fract_x
_atom_site_fract_y
_atom_site_fract_z
_atom_site_occupancy
Mg1 Mg 0.0000 0.0000 0.0000 1
Mg2 Mg 0.0000 0.5000 0.4234 1
Co1 Co 0.5000 0.5000 0.9053 1
Ir1 Ir 0.5000 0.0000 0.5102 1
```